[1]
The following is a computed powder XRD pattern of BaHgI3. It was derived from a PBE-relaxed structure, using copper Kα.
Kinematic intensities with the Lorentz-polarization factor, no thermal factor.

Principal peaks in the range 5° ≤ 2θ ≤ 70°, sorted by position:
d_spacing, I_rel
4.837, 38
3.949, 75
3.420, 100
2.793, 20
2.419, 78
2.063, 39
1.975, 29
1.828, 12
1.710, 14
1.569, 16
1.530, 38
1.396, 28

a b c (Å): 6.841 6.841 6.841
angles (deg): 90.00 90.00 90.00
Fractional positions:
Ba 0.000 0.000 0.000
Hg 0.500 0.500 0.500
I 0.000 0.000 0.500
I 0.000 0.500 0.000
I 0.500 0.000 0.000

---

[2]
The following is a computed powder XRD pattern of BaHgI2. It was derived from a PBE-relaxed structure, using copper Kα.
Kinematic intensities with the Lorentz-polarization factor, no thermal factor.

Principal peaks in the range 5° ≤ 2θ ≤ 70°, sorted by position:
d_spacing, I_rel
3.974, 12
3.250, 100
3.075, 52
2.606, 7
2.237, 10
2.174, 20
2.132, 8
1.914, 13
1.807, 42
1.625, 8
1.390, 10
1.375, 9

a b c (Å): 4.348 4.348 9.786
angles (deg): 90.00 90.00 90.00
Fractional positions:
Ba 0.000 0.000 0.000
Hg 0.000 0.000 0.500
I 0.500 0.500 0.199
I 0.500 0.500 0.801

---

[3]
The following is a computed powder XRD pattern of BaNa3Hg4I12. It was derived from a PBE-relaxed structure, using copper Kα.
Kinematic intensities with the Lorentz-polarization factor, no thermal factor.

Principal peaks in the range 5° ≤ 2θ ≤ 70°, sorted by position:
d_spacing, I_rel
6.211, 37
4.968, 50
4.698, 63
4.146, 100
4.086, 35
3.788, 39
2.604, 23
2.522, 40
2.379, 26
2.296, 28
2.073, 30
1.946, 23

a b c (Å): 10.419 10.419 10.419
angles (deg): 105.21 105.21 105.21
Fractional positions:
Ba 0.000 0.000 0.000
Na 0.000 0.549 0.451
Na 0.451 0.000 0.549
Na 0.549 0.451 0.000
Hg 0.054 0.500 0.946
Hg 0.500 0.500 0.500
Hg 0.500 0.946 0.054
Hg 0.946 0.054 0.500
I 0.039 0.685 0.787
I 0.114 0.886 0.500
I 0.213 0.315 0.961
I 0.315 0.961 0.213
I 0.329 0.671 0.500
I 0.500 0.114 0.886
I 0.500 0.329 0.671
I 0.671 0.500 0.329
I 0.685 0.787 0.039
I 0.787 0.039 0.685
I 0.886 0.500 0.114
I 0.961 0.213 0.315

---

[4]
The following is a computed powder XRD pattern of Rb2BaHgI6. It was derived from a PBE-relaxed structure, using copper Kα.
Kinematic intensities with the Lorentz-polarization factor, no thermal factor.

Principal peaks in the range 5° ≤ 2θ ≤ 70°, sorted by position:
d_spacing, I_rel
6.300, 74
4.459, 38
3.798, 100
3.150, 88
2.885, 21
2.822, 66
2.568, 78
2.232, 23
2.134, 31
2.126, 28
1.681, 35
1.483, 27

a b c (Å): 8.928 8.928 8.928
angles (deg): 59.73 59.73 59.73
Fractional positions:
Rb 0.000 0.000 0.000
Rb 0.500 0.500 0.500
Ba 0.280 0.280 0.280
Hg 0.781 0.781 0.781
I 0.029 0.454 0.642
I 0.116 0.920 0.567
I 0.454 0.642 0.029
I 0.567 0.116 0.920
I 0.642 0.029 0.454
I 0.920 0.567 0.116

---

[5]
The following is a computed powder XRD pattern of BaInHg3. It was derived from a PBE-relaxed structure, using copper Kα.
Kinematic intensities with the Lorentz-polarization factor, no thermal factor.

Principal peaks in the range 5° ≤ 2θ ≤ 70°, sorted by position:
d_spacing, I_rel
3.539, 33
3.337, 43
3.321, 76
3.102, 41
3.025, 44
2.914, 100
2.896, 60
2.715, 64
2.529, 32
1.986, 52
1.910, 39
1.749, 30

a b c (Å): 7.328 8.084 5.827
angles (deg): 90.00 90.00 90.00
Fractional positions:
Ba 0.000 0.000 0.000
Ba 0.500 0.500 0.000
In 0.000 0.500 0.500
In 0.500 0.000 0.500
Hg 0.000 0.500 0.000
Hg 0.153 0.174 0.500
Hg 0.347 0.674 0.500
Hg 0.500 0.000 0.000
Hg 0.653 0.326 0.500
Hg 0.847 0.826 0.500

---

[6]
The following is a computed powder XRD pattern of Ba2In5Hg3. It was derived from a PBE-relaxed structure, using copper Kα.
Kinematic intensities with the Lorentz-polarization factor, no thermal factor.

Principal peaks in the range 5° ≤ 2θ ≤ 70°, sorted by position:
d_spacing, I_rel
12.318, 26
4.612, 17
3.166, 55
3.054, 100
2.487, 76
2.317, 49
2.208, 35
1.956, 28
1.758, 27
1.651, 28
1.524, 25
1.401, 20

a b c (Å): 4.974 4.974 12.318
angles (deg): 90.00 90.00 90.00
Fractional positions:
Ba 0.000 0.500 0.247
Ba 0.500 0.000 0.753
In 0.000 0.000 0.500
In 0.000 0.500 0.637
In 0.500 0.000 0.363
In 0.500 0.500 0.000
In 0.500 0.500 0.500
Hg 0.000 0.000 0.000
Hg 0.000 0.500 0.867
Hg 0.500 0.000 0.133

---

- Which formula does entry 1 have?
  BaHgI3

---

What did the first record say?
The following is a computed powder XRD pattern of BaHgI3. It was derived from a PBE-relaxed structure, using copper Kα.
Kinematic intensities with the Lorentz-polarization factor, no thermal factor.

Principal peaks in the range 5° ≤ 2θ ≤ 70°, sorted by position:
d_spacing, I_rel
4.837, 38
3.949, 75
3.420, 100
2.793, 20
2.419, 78
2.063, 39
1.975, 29
1.828, 12
1.710, 14
1.569, 16
1.530, 38
1.396, 28

a b c (Å): 6.841 6.841 6.841
angles (deg): 90.00 90.00 90.00
Fractional positions:
Ba 0.000 0.000 0.000
Hg 0.500 0.500 0.500
I 0.000 0.000 0.500
I 0.000 0.500 0.000
I 0.500 0.000 0.000